The following is a simulated XRD peak list of BC7. It was derived from a structure optimized by DFT (PBE), using Cu Kα (λ = 1.5418 Å).
Intensities are scaled so that the largest is 100.

Most intense lines, 2θ = 10–80°, most intense first:
| two_theta | d [Å] | I (rel.) |
| --- | --- | --- |
| 42.48 | 2.128 | 100 |
| 46.52 | 1.952 | 36 |
| 74.89 | 1.268 | 30 |
| 41.10 | 2.196 | 22 |
| 69.86 | 1.346 | 13 |
| 10.38 | 8.522 | 12 |
| 60.55 | 1.529 | 3 |
| 20.85 | 4.261 | 3 |
| 52.68 | 1.737 | 2 |
| 53.78 | 1.704 | 1 |

Cell and atoms:
```
BC7
1.0
2.536 0.000 0.000
-1.268 2.196 0.000
0.000 0.000 8.522
B C
1 7
direct
0.000 0.000 0.000
0.000 0.000 0.189
0.333 0.667 0.493
0.333 0.667 0.677
0.667 0.333 0.251
0.667 0.333 0.432
0.667 0.333 0.741
0.667 0.333 0.916
```